Starting from DFT lattice parameters and positions (PBE), the XRD peak list of TbGd2Mg3Ir2Au was computed for Cu Kα X-rays.

Principal peaks in the range 15° ≤ 2θ ≤ 90°, sorted by position:
- 2θ 23.90, I = 46.9
- 2θ 26.04, I = 25.2
- 2θ 32.73, I = 54.7
- 2θ 35.64, I = 100.0
- 2θ 42.04, I = 33.6
- 2θ 43.37, I = 32.9
- 2θ 44.91, I = 20.6
- 2θ 48.94, I = 16.5
- 2θ 63.20, I = 20.3
- 2θ 67.43, I = 23.5

Cell and atoms:
```
9
Lattice="4.036 0.000 0.000 0.000 6.446 3.723 0.000 -6.446 3.723" Properties=species:S:1:pos:R:3 pbc="T T T"
Tb 0.000 0.000 0.000
Gd 0.000 -2.697 2.775
Gd 0.000 2.697 2.775
Mg 2.018 0.000 2.447
Mg 2.018 -1.628 5.276
Mg 2.018 1.628 5.276
Ir 2.018 -4.303 4.331
Ir 2.018 4.303 4.331
Au 0.000 0.000 4.337
```


Starting from DFT lattice parameters and positions (PBE), the XRD peak list of SmGdTlPd2 was computed for Cu Kα X-rays.

Principal peaks in the range 15° ≤ 2θ ≤ 90°, sorted by position:
- 2θ 27.74, I = 21.0
- 2θ 32.79, I = 100.0
- 2θ 33.74, I = 53.4
- 2θ 35.50, I = 16.1
- 2θ 36.63, I = 49.7
- 2θ 36.93, I = 18.4
- 2θ 43.42, I = 25.9
- 2θ 48.94, I = 18.3
- 2θ 56.09, I = 25.3
- 2θ 62.65, I = 20.8

Cell and atoms:
```
5
Lattice="3.723 0.000 0.000 0.000 2.084 7.585 0.000 -2.084 7.585" Properties=species:S:1:pos:R:3 pbc="T T T"
Sm 0.000 0.000 0.000
Gd 0.000 0.000 11.113
Tl 1.861 0.000 5.556
Pd 1.861 0.000 2.679
Pd 1.861 0.000 8.477
```


Starting from DFT lattice parameters and positions (PBE), the XRD peak list of BaSrHgSbAs was computed for Cu Kα X-rays.

Principal peaks in the range 15° ≤ 2θ ≤ 90°, sorted by position:
- 2θ 26.70, I = 100.0
- 2θ 29.09, I = 80.8
- 2θ 29.99, I = 33.3
- 2θ 32.23, I = 90.0
- 2θ 32.70, I = 28.1
- 2θ 34.08, I = 57.7
- 2θ 37.99, I = 66.7
- 2θ 38.78, I = 27.7
- 2θ 40.98, I = 35.7
- 2θ 51.94, I = 27.7

Cell and atoms:
```
10
Lattice="2.370 -8.571 0.000 2.370 8.571 0.000 0.000 0.000 8.290" Properties=species:S:1:pos:R:3 pbc="T T T"
Ba 2.370 7.914 4.145
Ba 2.370 -7.914 0.000
Sr 2.370 4.855 1.030
Sr 2.370 -4.855 5.175
Hg 2.370 1.655 2.797
Hg 2.370 -1.655 6.942
Sb 2.370 1.306 5.822
Sb 2.370 -1.306 1.677
As 2.370 5.514 6.300
As 2.370 -5.514 2.155
```